No. 1
Diffraction record for CdCuI4. The powder diffraction line list is computed, not measured: it uses a structure optimized by DFT (GGA-PBE) and λ = 1.5418 Å (Cu Kα).
No peak broadening, texture or thermal motion is included.

Peak list (10 most intense, 10 to 90 degrees two-theta, low angle first)
(hkl)  2θ/deg  I (rel.)
0 0 2  13.57  11
1 0 1  22.09  19
1 0 2  25.08  100
1 0 3  29.45  12
1 1 0  29.87  13
1 1 4  40.93  47
2 0 0  42.75  23
1 0 6  46.96  14
2 1 2  50.21  29
3 1 4  77.04  14

Cell and atoms:
```
data_CdCuI4
_space_group_name_H-M_alt 'P -4 m 2'
_space_group_IT_number 115
_cell_length_a 4.2304
_cell_length_b 4.2304
_cell_length_c 13.0540
_cell_angle_alpha 90.00
_cell_angle_beta 90.00
_cell_angle_gamma 90.00
loop_
_space_group_symop_operation_xyz
'x,y,z'
'y,-x,-z'
'-x,-y,z'
'-y,x,-z'
'-x,y,z'
'-y,-x,-z'
'x,-y,z'
'y,x,-z'
loop_
_atom_site_label
_atom_site_fract_x
_atom_site_fract_y
_atom_site_fract_z
_atom_site_occupancy
Cd1 0.0000 0.0000 0.0000 1
Cu1 0.5000 0.5000 0.5000 1
I1 0.0000 0.5000 0.1420 1
I2 0.0000 0.5000 0.6144 1
```


No. 2
Diffraction record for HfNiSb. The powder diffraction line list is computed, not measured: it uses a structure optimized by DFT (GGA-PBE) and λ = 1.5418 Å (Cu Kα).
No peak broadening, texture or thermal motion is included.

Peak list (10 most intense, 10 to 90 degrees two-theta, low angle first)
(hkl)  2θ/deg  I (rel.)
1 1 1  25.28  14
2 0 0  29.27  54
2 2 0  41.87  100
3 1 1  49.54  7
2 2 2  51.90  15
4 0 0  60.70  16
3 3 1  66.82  3
4 2 0  68.80  19
4 2 2  76.47  33
5 1 1  82.06  2

Cell and atoms:
```
data_HfNiSb
_space_group_name_H-M_alt 'F -4 3 m'
_space_group_IT_number 216
_space_group_name_Hall 'F -4 2 3'
_cell_length_a 6.1025
_cell_length_b 6.1025
_cell_length_c 6.1025
_cell_angle_alpha 90.00
_cell_angle_beta 90.00
_cell_angle_gamma 90.00
loop_
_atom_site_label
_atom_site_fract_x
_atom_site_fract_y
_atom_site_fract_z
_atom_site_occupancy
Hf1 0.0000 0.0000 0.0000 1
Ni1 0.2500 0.2500 0.2500 1
Sb1 0.0000 0.0000 0.5000 1
```


No. 3
Diffraction record for Tl2Ag9. The powder diffraction line list is computed, not measured: it uses a structure optimized by DFT (GGA-PBE) and λ = 1.5418 Å (Cu Kα).
No peak broadening, texture or thermal motion is included.

Peak list (10 most intense, 10 to 90 degrees two-theta, low angle first)
(hkl)  2θ/deg  I (rel.)
0 0 4  11.89  13
0 0 5  14.87  12
1 0 4  36.55  100
0 0 13  39.33  15
0 1 8  42.35  46
0 1 9  44.26  20
1 1 0  61.68  23
1 0 17  64.06  15
0 2 4  73.88  12
1 1 13  75.65  12

Cell and atoms:
```
data_Tl2Ag9
_space_group_name_H-M_alt 'P -3 m 1'
_space_group_IT_number 164
_space_group_name_Hall '-P 3 2"'
_cell_length_a 3.0075
_cell_length_b 3.0075
_cell_length_c 29.7802
_cell_angle_alpha 90.00
_cell_angle_beta 90.00
_cell_angle_gamma 120.00
loop_
_atom_site_label
_atom_site_fract_x
_atom_site_fract_y
_atom_site_fract_z
_atom_site_occupancy
Tl1 0.3333 0.6667 0.4039 1
Ag1 0.0000 0.0000 0.0000 1
Ag2 0.0000 0.0000 0.2332 1
Ag3 0.3333 0.6667 0.1551 1
Ag4 0.3333 0.6667 0.6881 1
Ag5 0.3333 0.6667 0.9226 1
```


No. 4
Diffraction record for HgI7. The powder diffraction line list is computed, not measured: it uses a structure optimized by DFT (GGA-PBE) and λ = 1.5418 Å (Cu Kα).
No peak broadening, texture or thermal motion is included.

Peak list (10 most intense, 10 to 90 degrees two-theta, low angle first)
(hkl)  2θ/deg  I (rel.)
0 2 0  22.10  100
2 2 1  24.25  25
2 0 1  24.87  60
2 2 2  26.76  40
1 1 -3  28.68  56
3 1 -2  37.69  29
1 1 5  40.23  18
2 -2 1  40.92  31
1 3 -3  42.14  22
-3 1 2  45.40  17

Cell and atoms:
```
data_HgI7
_space_group_name_H-M_alt 'P -1'
_space_group_IT_number 2
_cell_length_a 8.3938
_cell_length_b 9.1295
_cell_length_c 11.3544
_cell_angle_alpha 79.43
_cell_angle_beta 83.64
_cell_angle_gamma 63.04
loop_
_space_group_symop_operation_xyz
'x,y,z'
'-x,-y,-z'
loop_
_atom_site_label
_atom_site_fract_x
_atom_site_fract_y
_atom_site_fract_z
_atom_site_occupancy
Hg1 0.2008 0.3583 0.3973 1
I1 0.0028 0.7099 0.3790 1
I2 0.1047 0.1876 0.2557 1
I3 0.1842 0.7522 0.0912 1
I4 0.2572 0.2420 0.0055 1
I5 0.3259 0.7660 0.8582 1
I6 0.4136 0.2782 0.7782 1
I7 0.4307 0.7765 0.5817 1
```